For NdFeAs2O8, a structure optimized by DFT (GGA+U) gives the theoretical X-ray diffraction stick pattern in this record (a wavelength of 1.5418 Å).

Principal peaks in the range 10° ≤ 2θ ≤ 90°, by angle:
- d 3.570, 24.94 deg, rel. 100
- d 2.655, 33.76 deg, rel. 63
- d 2.524, 35.56 deg, rel. 20
- d 1.829, 49.85 deg, rel. 58
- d 1.785, 51.18 deg, rel. 15
- d 1.597, 57.75 deg, rel. 13
- d 1.481, 62.72 deg, rel. 18
- d 1.278, 74.23 deg, rel. 12

```
NdFeAs2O8
1.0
-3.5699 3.5699 3.1214
3.5699 -3.5699 3.1214
3.5699 3.5699 -3.1214
Nd Fe As O
1 1 2 8
Cartesian
0.0000 0.0000 0.0000
3.5699 0.0000 1.5607
0.0000 0.0000 3.1214
0.0000 3.5699 1.5607
2.2195 3.5699 -1.0826
1.3504 0.0000 2.0388
0.0000 2.3360 0.3649
3.5699 2.2195 1.0826
0.0000 4.8038 0.3649
0.0000 1.3504 4.2040
-1.2339 3.5699 2.7565
1.2339 3.5699 2.7565
```